Diffraction record for ScCu2S3. The powder diffractogram is simulated, not measured: it uses a crystal structure in Alexandria, relaxed with GGA-PBE and Cu Kα.

Largest 8 diffraction maxima, sorted by position, 15 to 90 degrees two-theta:
- hkl 0 0 1, 23.09°, rel. 54
- hkl 0 2 1, 28.33°, rel. 59
- hkl 1 1 1, 30.24°, rel. 30
- hkl 2 0 0, 35.32°, rel. 88
- hkl 0 4 1, 40.41°, rel. 100
- hkl 0 0 2, 47.20°, rel. 36
- hkl 2 4 1, 54.74°, rel. 78
- hkl 2 0 2, 60.29°, rel. 38

Structural model:
a = 5.083 Å, b = 10.954 Å, c = 3.851 Å
α = 90.00°, β = 90.00°, γ = 90.00°
Space group Pmmn (No. 59, origin choice 2)
Inequivalent atoms, fractional coordinates:
Sc  0.250  0.250  0.004
Cu  0.250  0.616  0.500
S  0.250  0.094  0.503
S  0.250  0.750  0.000